[1]
FeNi15Sb4: simulated powder XRD pattern (CuKα), based on the PBE geometry in Alexandria.
Kinematic intensities with the Lorentz-polarization factor, no thermal factor.

Structural model:
```
data_FeNi15Sb4
_chemical_formula_sum 'Fe1 Ni15 Sb4'
_cell_length_a 3.712
_cell_length_b 3.712
_cell_length_c 18.313
_cell_angle_alpha 90.00
_cell_angle_beta 90.00
_cell_angle_gamma 90.00
_symmetry_space_group_name_H-M 'P 4/m m m'
_symmetry_Int_Tables_number 123
_symmetry_space_group_name_Hall '-P 4 2'
loop_
_atom_site_label
_atom_site_type_symbol
_atom_site_fract_x
_atom_site_fract_y
_atom_site_fract_z
Fe1 Fe 0.000 0.000 0.000
Ni1 Ni 0.000 0.500 0.091
Ni2 Ni 0.000 0.500 0.296
Ni3 Ni 0.000 0.500 0.500
Ni4 Ni 0.500 0.500 0.000
Ni5 Ni 0.500 0.500 0.196
Ni6 Ni 0.500 0.500 0.398
Sb1 Sb 0.000 0.000 0.192
Sb2 Sb 0.000 0.000 0.397
```

The 10 most intense peaks (2θ from 5° to 70°), by angle:
(1 0 0), 2θ 24.0, I 5; (0 0 5), 2θ 24.3, I 2; (1 1 0), 2θ 34.2, I 2; (1 0 5), 2θ 34.4, I 3; (1 1 4), 2θ 39.6, I 2; (1 1 5), 2θ 42.4, I 100; (2 0 0), 2θ 49.1, I 33; (0 0 10), 2θ 49.8, I 14; (2 1 5), 2θ 61.3, I 2; (2 0 9), 2θ 68.4, I 2

---

[2]
Tb8Ga2Rh: simulated powder XRD pattern (CuKα), based on the PBE geometry in Alexandria.
Kinematic intensities with the Lorentz-polarization factor, no thermal factor.

Structural model:
```
data_Tb8Ga2Rh
_chemical_formula_sum 'Tb16 Ga4 Rh2'
_cell_length_a 18.326
_cell_length_b 4.952
_cell_length_c 6.632
_cell_angle_alpha 90.00
_cell_angle_beta 101.02
_cell_angle_gamma 90.00
_symmetry_space_group_name_H-M 'C 1 2/m 1'
_symmetry_Int_Tables_number 12
_symmetry_space_group_name_Hall '-C 2y'
loop_
_atom_site_label
_atom_site_type_symbol
_atom_site_fract_x
_atom_site_fract_y
_atom_site_fract_z
Tb1 Tb 0.023 0.000 0.278
Tb2 Tb 0.090 0.500 0.958
Tb3 Tb 0.151 0.500 0.479
Tb4 Tb 0.209 0.000 0.818
Ga1 Ga 0.189 0.000 0.258
Rh1 Rh 0.000 0.500 0.500
```

The 10 most intense peaks (2θ from 5° to 70°), by angle:
(3 1 1), 2θ 28.5, I 54; (5 1 0), 2θ 30.7, I 100; (5 1 -1), 2θ 31.7, I 41; (1 1 -2), 2θ 32.5, I 100; (3 1 -2), 2θ 33.9, I 25; (1 1 2), 2θ 34.1, I 55; (0 2 0), 2θ 36.3, I 82; (7 1 -1), 2θ 39.6, I 37; (6 0 -4), 2θ 59.2, I 26; (7 1 3), 2θ 64.1, I 32

---

[3]
TlSe2Br4: simulated powder XRD pattern (CuKα), based on the PBE geometry in Alexandria.
Kinematic intensities with the Lorentz-polarization factor, no thermal factor.

Structural model:
```
data_TlSe2Br4
_chemical_formula_sum 'Tl8 Se16 Br32'
_cell_length_a 9.495
_cell_length_b 14.473
_cell_length_c 15.447
_cell_angle_alpha 90.00
_cell_angle_beta 90.00
_cell_angle_gamma 90.00
_symmetry_space_group_name_H-M 'F 2 2 2'
_symmetry_Int_Tables_number 22
_symmetry_space_group_name_Hall 'F 2 2'
loop_
_atom_site_label
_atom_site_type_symbol
_atom_site_fract_x
_atom_site_fract_y
_atom_site_fract_z
Tl1 Tl 0.000 0.000 0.000
Tl2 Tl 0.250 0.250 0.250
Se1 Se 0.130 0.064 0.724
Br1 Br 0.058 0.170 0.850
Br2 Br 0.179 0.065 0.388
```

The 10 most intense peaks (2θ from 5° to 70°), by angle:
(0 0 2), 2θ 11.5, I 33; (0 2 0), 2θ 12.2, I 17; (1 1 1), 2θ 12.5, I 27; (1 3 3), 2θ 27.0, I 100; (3 1 1), 2θ 29.5, I 57; (2 2 4), 2θ 32.3, I 36; (1 5 1), 2θ 32.9, I 16; (1 3 5), 2θ 35.8, I 17; (4 2 2), 2θ 41.7, I 16; (4 4 2), 2θ 47.3, I 17

---

[4]
YScS2: simulated powder XRD pattern (CuKα), based on the PBE geometry in Alexandria.
Kinematic intensities with the Lorentz-polarization factor, no thermal factor.

Structural model:
```
data_YScS2
_chemical_formula_sum 'Y1 Sc1 S2'
_cell_length_a 3.6881
_cell_length_b 3.6881
_cell_length_c 6.7568
_cell_angle_alpha 90.00
_cell_angle_beta 90.00
_cell_angle_gamma 120.00
_symmetry_space_group_name_H-M 'P -3 m 1'
_symmetry_Int_Tables_number 164
_symmetry_space_group_name_Hall '-P 3 2"'
loop_
_atom_site_label
_atom_site_type_symbol
_atom_site_fract_x
_atom_site_fract_y
_atom_site_fract_z
Y1 Y 0.0000 0.0000 0.0000
Sc1 Sc 0.0000 0.0000 0.5000
S1 S 0.3333 0.6667 0.7328
```

The 10 most intense peaks (2θ from 5° to 70°), by angle:
(0 0 1), 2θ 13.1, I 12; (0 0 2), 2θ 26.4, I 8; (1 0 0), 2θ 27.9, I 46; (1 0 1), 2θ 31.0, I 39; (0 1 2), 2θ 38.8, I 100; (1 1 0), 2θ 49.4, I 41; (0 0 4), 2θ 54.3, I 8; (1 1 2), 2θ 56.9, I 6; (1 0 4), 2θ 62.2, I 10; (2 0 2), 2θ 64.5, I 20

---

[5]
Pr4Ga: simulated powder XRD pattern (CuKα), based on the PBE geometry in Alexandria.
Kinematic intensities with the Lorentz-polarization factor, no thermal factor.

Structural model:
```
data_Pr4Ga
_chemical_formula_sum 'Pr16 Ga4'
_cell_length_a 9.334
_cell_length_b 9.334
_cell_length_c 7.966
_cell_angle_alpha 90.00
_cell_angle_beta 90.00
_cell_angle_gamma 90.00
_symmetry_space_group_name_H-M 'I 41/a m d'
_symmetry_Int_Tables_number 141
loop_
_symmetry_equiv_pos_as_xyz
'x,y,z'
'-x,-y,-z'
'-y+1/4,x+3/4,z+1/4'
'y+1/4,-x+3/4,-z+1/4'
'-x+1/2,-y,z+1/2'
'x+1/2,y,-z+1/2'
'y+1/4,-x+1/4,z+3/4'
'-y+1/4,x+1/4,-z+3/4'
'x,-y,-z'
'-x,y,z'
'-y+1/4,-x+1/4,-z+3/4'
'y+1/4,x+1/4,z+3/4'
'-x+1/2,y,-z+1/2'
'x+1/2,-y,z+1/2'
'y+1/4,x+3/4,-z+1/4'
'-y+1/4,-x+3/4,z+1/4'
'x+1/2,y+1/2,z+1/2'
'-x+1/2,-y+1/2,-z+1/2'
'-y+3/4,x+1/4,z+3/4'
'y+3/4,-x+1/4,-z+3/4'
'-x,-y+1/2,z'
'x,y+1/2,-z'
'y+3/4,-x+3/4,z+1/4'
'-y+3/4,x+3/4,-z+1/4'
'x+1/2,-y+1/2,-z+1/2'
'-x+1/2,y+1/2,z+1/2'
'-y+3/4,-x+3/4,-z+1/4'
'y+3/4,x+3/4,z+1/4'
'-x,y+1/2,-z'
'x,-y+1/2,z'
'y+3/4,x+1/4,-z+3/4'
'-y+3/4,-x+1/4,z+3/4'
loop_
_atom_site_label
_atom_site_type_symbol
_atom_site_fract_x
_atom_site_fract_y
_atom_site_fract_z
Pr1 Pr 0.000 0.061 0.214
Ga1 Ga 0.000 0.250 0.875
```

The 10 most intense peaks (2θ from 5° to 70°), by angle:
(2 0 0), 2θ 19.0, I 17; (2 1 1), 2θ 24.1, I 16; (2 2 0), 2θ 27.0, I 37; (2 0 2), 2θ 29.5, I 100; (3 0 1), 2θ 30.9, I 62; (1 0 3), 2θ 35.1, I 31; (3 2 1), 2θ 36.5, I 39; (4 0 0), 2θ 38.6, I 17; (3 2 3), 2θ 49.1, I 19; (4 3 1), 2θ 50.2, I 25

---

[6]
Pm3ErTm5: simulated powder XRD pattern (CuKα), based on the PBE geometry in Alexandria.
Kinematic intensities with the Lorentz-polarization factor, no thermal factor.

Structural model:
```
data_Pm3ErTm5
_chemical_formula_sum 'Pm12 Er4 Tm20'
_cell_length_a 8.670
_cell_length_b 8.670
_cell_length_c 15.245
_cell_angle_alpha 90.00
_cell_angle_beta 90.00
_cell_angle_gamma 90.00
_symmetry_space_group_name_H-M 'I 4/m c m'
_symmetry_Int_Tables_number 140
_symmetry_space_group_name_Hall '-I 4 2c'
loop_
_atom_site_label
_atom_site_type_symbol
_atom_site_fract_x
_atom_site_fract_y
_atom_site_fract_z
Pm1 Pm 0.000 0.000 0.250
Pm2 Pm 0.116 0.384 0.000
Er1 Er 0.000 0.500 0.250
Tm1 Tm 0.000 0.000 0.000
Tm2 Tm 0.210 0.290 0.362
```

The 10 most intense peaks (2θ from 5° to 70°), by angle:
(2 1 3), 2θ 29.0, I 45; (2 2 0), 2θ 29.1, I 52; (2 0 4), 2θ 31.2, I 100; (3 1 0), 2θ 32.7, I 12; (3 1 2), 2θ 34.8, I 11; (3 2 1), 2θ 37.9, I 16; (4 0 2), 2θ 43.4, I 20; (0 0 8), 2θ 47.7, I 12; (4 2 4), 2θ 53.0, I 23; (2 2 8), 2θ 56.9, I 13